1.
# CaHo2PuBi4
Computed powder diffraction line list, Cu Kα, 1.54184 Å. Input: a crystal structure in Alexandria, relaxed with PBE.

The 10 most intense peaks (2θ = 10–90°), by angle:
| Position (°2θ) | d/Å | intensity |
| --- | --- | --- |
| 27.88 | 3.200 | 100 |
| 27.98 | 3.188 | 50 |
| 39.75 | 2.268 | 59 |
| 39.96 | 2.256 | 20 |
| 40.07 | 2.250 | 39 |
| 49.03 | 1.858 | 11 |
| 49.51 | 1.841 | 32 |
| 57.61 | 1.600 | 14 |
| 65.03 | 1.434 | 19 |
| 72.58 | 1.303 | 14 |

Cell: 7.788 4.513 7.866 Å, 90.00 109.13 90.00°
Fractional coordinates of all 8 atoms:
Ca 0.000 0.000 0.000
Ho 0.000 0.500 0.500
Ho 0.500 0.000 0.500
Pu 0.500 0.500 0.000
Bi 0.251 0.000 0.744
Bi 0.256 0.500 0.258
Bi 0.744 0.500 0.742
Bi 0.749 0.000 0.256



2.
# RbCaBiI6
Computed powder diffraction line list, Cu Kα, 1.54184 Å. Input: a crystal structure in Alexandria, relaxed with PBE.

The 10 most intense peaks (2θ = 10–90°), by angle:
| Position (°2θ) | d/Å | intensity |
| --- | --- | --- |
| 10.86 | 8.143 | 23 |
| 12.64 | 7.005 | 24 |
| 16.69 | 5.310 | 47 |
| 24.58 | 3.622 | 100 |
| 31.17 | 2.869 | 72 |
| 35.66 | 2.518 | 25 |
| 38.56 | 2.335 | 37 |
| 40.00 | 2.254 | 29 |
| 48.15 | 1.890 | 17 |
| 60.32 | 1.534 | 15 |

Cell: 8.088 8.088 8.143 Å, 90.00 90.00 120.00°
Fractional coordinates of all 9 atoms:
Rb 0.000 0.000 0.000
Ca 0.333 0.667 0.500
Bi 0.667 0.333 0.500
I 0.375 0.004 0.724
I 0.375 0.371 0.276
I 0.629 0.004 0.276
I 0.629 0.625 0.724
I 0.996 0.371 0.724
I 0.996 0.625 0.276



3.
# SrCaBiI
Computed powder diffraction line list, Cu Kα, 1.54184 Å. Input: a crystal structure in Alexandria, relaxed with PBE.

The 10 most intense peaks (2θ = 10–90°), by angle:
| Position (°2θ) | d/Å | intensity |
| --- | --- | --- |
| 21.43 | 4.147 | 63 |
| 22.22 | 4.000 | 41 |
| 23.44 | 3.796 | 27 |
| 24.22 | 3.675 | 71 |
| 28.02 | 3.184 | 84 |
| 32.52 | 2.754 | 27 |
| 34.90 | 2.571 | 100 |
| 39.24 | 2.296 | 59 |
| 42.47 | 2.129 | 34 |
| 65.50 | 1.425 | 26 |

Cell: 15.471 15.471 15.471 Å, 19.13 19.13 19.13°
Fractional coordinates of all 8 atoms:
Sr 0.092 0.092 0.092
Sr 0.908 0.908 0.908
Ca 0.308 0.308 0.308
Ca 0.692 0.692 0.692
Bi 0.382 0.382 0.382
Bi 0.618 0.618 0.618
I 0.206 0.206 0.206
I 0.794 0.794 0.794



4.
# CaIn4Bi2
Computed powder diffraction line list, Cu Kα, 1.54184 Å. Input: a crystal structure in Alexandria, relaxed with PBE.

The 10 most intense peaks (2θ = 10–90°), by angle:
| Position (°2θ) | d/Å | intensity |
| --- | --- | --- |
| 17.48 | 5.074 | 67 |
| 27.55 | 3.238 | 32 |
| 27.84 | 3.205 | 38 |
| 29.19 | 3.059 | 72 |
| 30.05 | 2.974 | 81 |
| 32.37 | 2.766 | 65 |
| 32.80 | 2.730 | 35 |
| 34.36 | 2.610 | 39 |
| 34.94 | 2.568 | 72 |
| 35.21 | 2.549 | 100 |

Cell: 6.348 11.894 6.255 Å, 90.00 116.24 90.00°
Fractional coordinates of all 14 atoms:
Ca 0.000 0.000 0.000
Ca 0.000 0.500 0.500
In 0.042 0.219 0.423
In 0.042 0.281 0.923
In 0.463 0.710 0.557
In 0.463 0.790 0.057
In 0.537 0.210 0.943
In 0.537 0.290 0.443
In 0.958 0.719 0.077
In 0.958 0.781 0.577
Bi 0.320 0.513 0.117
Bi 0.320 0.987 0.617
Bi 0.680 0.013 0.383
Bi 0.680 0.487 0.883



5.
# CaIn6Bi
Computed powder diffraction line list, Cu Kα, 1.54184 Å. Input: a crystal structure in Alexandria, relaxed with PBE.

The 10 most intense peaks (2θ = 10–90°), by angle:
| Position (°2θ) | d/Å | intensity |
| --- | --- | --- |
| 15.02 | 5.899 | 11 |
| 21.65 | 4.105 | 9 |
| 31.30 | 2.858 | 64 |
| 34.21 | 2.621 | 100 |
| 44.86 | 2.021 | 23 |
| 57.60 | 1.600 | 41 |
| 63.03 | 1.475 | 15 |
| 72.07 | 1.311 | 10 |
| 74.21 | 1.278 | 9 |
| 75.83 | 1.254 | 9 |

Cell: 6.672 6.672 5.715 Å, 90.00 90.00 117.86°
Fractional coordinates of all 8 atoms:
Ca 0.000 0.000 0.000
In 0.000 0.500 0.000
In 0.231 0.769 0.500
In 0.271 0.271 0.500
In 0.500 0.000 0.000
In 0.729 0.729 0.500
In 0.769 0.231 0.500
Bi 0.500 0.500 0.000



6.
# Ca3InBi3
Computed powder diffraction line list, Cu Kα, 1.54184 Å. Input: a crystal structure in Alexandria, relaxed with PBE.

The 10 most intense peaks (2θ = 10–90°), by angle:
| Position (°2θ) | d/Å | intensity |
| --- | --- | --- |
| 23.07 | 3.856 | 77 |
| 23.25 | 3.826 | 100 |
| 23.40 | 3.801 | 84 |
| 24.24 | 3.672 | 70 |
| 29.49 | 3.029 | 90 |
| 32.73 | 2.736 | 78 |
| 38.25 | 2.353 | 71 |
| 39.06 | 2.306 | 59 |
| 41.46 | 2.178 | 43 |
| 42.10 | 2.146 | 75 |

Cell: 13.449 4.706 14.689 Å, 90.00 90.00 90.00°
Fractional coordinates of all 28 atoms:
Ca 0.049 0.250 0.119
Ca 0.151 0.750 0.503
Ca 0.227 0.750 0.779
Ca 0.273 0.250 0.279
Ca 0.349 0.250 0.003
Ca 0.451 0.750 0.619
Ca 0.549 0.250 0.381
Ca 0.651 0.750 0.997
Ca 0.727 0.750 0.721
Ca 0.773 0.250 0.221
Ca 0.849 0.250 0.497
Ca 0.951 0.750 0.881
In 0.068 0.250 0.701
In 0.432 0.750 0.201
In 0.568 0.250 0.799
In 0.932 0.750 0.299
Bi 0.051 0.250 0.360
Bi 0.121 0.250 0.900
Bi 0.230 0.750 0.113
Bi 0.270 0.250 0.613
Bi 0.379 0.750 0.400
Bi 0.449 0.750 0.860
Bi 0.551 0.250 0.140
Bi 0.621 0.250 0.600
Bi 0.730 0.750 0.387
Bi 0.770 0.250 0.887
Bi 0.879 0.750 0.100
Bi 0.949 0.750 0.640



7.
# Ca2InBi4
Computed powder diffraction line list, Cu Kα, 1.54184 Å. Input: a crystal structure in Alexandria, relaxed with PBE.

The 10 most intense peaks (2θ = 10–90°), by angle:
| Position (°2θ) | d/Å | intensity |
| --- | --- | --- |
| 18.10 | 4.902 | 69 |
| 26.07 | 3.418 | 60 |
| 31.83 | 2.812 | 100 |
| 32.02 | 2.795 | 98 |
| 36.66 | 2.451 | 34 |
| 36.79 | 2.443 | 34 |
| 37.62 | 2.391 | 32 |
| 42.04 | 2.149 | 18 |
| 53.59 | 1.710 | 47 |
| 63.06 | 1.474 | 15 |

Cell: 6.837 6.837 6.890 Å, 120.14 120.14 88.78°
Fractional coordinates of all 7 atoms:
Ca 0.000 0.500 0.000
Ca 0.500 0.000 0.000
In 0.000 0.000 0.000
Bi 0.000 0.000 0.500
Bi 0.000 0.500 0.500
Bi 0.500 0.000 0.500
Bi 0.500 0.500 0.500



8.
# Ca2InBi2
Computed powder diffraction line list, Cu Kα, 1.54184 Å. Input: a crystal structure in Alexandria, relaxed with PBE.

The 10 most intense peaks (2θ = 10–90°), by angle:
| Position (°2θ) | d/Å | intensity |
| --- | --- | --- |
| 19.41 | 4.574 | 32 |
| 20.53 | 4.326 | 32 |
| 23.60 | 3.770 | 41 |
| 26.79 | 3.328 | 34 |
| 28.02 | 3.185 | 54 |
| 33.29 | 2.691 | 36 |
| 33.95 | 2.641 | 100 |
| 43.76 | 2.069 | 57 |
| 60.75 | 1.525 | 19 |
| 66.41 | 1.408 | 28 |

Cell: 5.281 5.281 13.313 Å, 90.00 90.00 120.00°
Fractional coordinates of all 10 atoms:
Ca 0.333 0.667 0.101
Ca 0.333 0.667 0.399
Ca 0.667 0.333 0.601
Ca 0.667 0.333 0.899
In 0.000 0.000 0.250
In 0.000 0.000 0.750
Bi 0.000 0.000 0.000
Bi 0.000 0.000 0.500
Bi 0.333 0.667 0.750
Bi 0.667 0.333 0.250



9.
# Ca3In2Bi4
Computed powder diffraction line list, Cu Kα, 1.54184 Å. Input: a crystal structure in Alexandria, relaxed with PBE.

The 10 most intense peaks (2θ = 10–90°), by angle:
| Position (°2θ) | d/Å | intensity |
| --- | --- | --- |
| 18.75 | 4.732 | 31 |
| 22.61 | 3.933 | 56 |
| 23.78 | 3.741 | 39 |
| 24.13 | 3.688 | 52 |
| 25.18 | 3.536 | 57 |
| 31.62 | 2.829 | 100 |
| 32.87 | 2.725 | 44 |
| 34.91 | 2.570 | 33 |
| 36.53 | 2.460 | 45 |
| 40.86 | 2.208 | 54 |

Cell: 7.073 17.287 4.919 Å, 90.00 90.00 90.00°
Fractional coordinates of all 18 atoms:
Ca 0.000 0.000 0.000
Ca 0.193 0.306 0.500
Ca 0.307 0.806 0.000
Ca 0.500 0.500 0.500
Ca 0.693 0.194 0.000
Ca 0.807 0.694 0.500
In 0.147 0.590 0.000
In 0.353 0.090 0.500
In 0.647 0.910 0.500
In 0.853 0.410 0.000
Bi 0.205 0.177 0.000
Bi 0.227 0.923 0.500
Bi 0.273 0.423 0.000
Bi 0.295 0.677 0.500
Bi 0.705 0.323 0.500
Bi 0.727 0.577 0.000
Bi 0.773 0.077 0.500
Bi 0.795 0.823 0.000



10.
# CaLuInBi
Computed powder diffraction line list, Cu Kα, 1.54184 Å. Input: a crystal structure in Alexandria, relaxed with PBE.

The 10 most intense peaks (2θ = 10–90°), by angle:
| Position (°2θ) | d/Å | intensity |
| --- | --- | --- |
| 19.96 | 4.447 | 19 |
| 23.09 | 3.852 | 5 |
| 32.89 | 2.724 | 100 |
| 38.77 | 2.323 | 11 |
| 47.20 | 1.926 | 18 |
| 51.73 | 1.767 | 5 |
| 58.72 | 1.572 | 38 |
| 68.96 | 1.362 | 12 |
| 78.54 | 1.218 | 16 |
| 87.79 | 1.112 | 4 |

Cell: 5.447 5.447 5.447 Å, 60.00 60.00 60.00°
Fractional coordinates of all 4 atoms:
Ca 0.000 0.000 0.000
Lu 0.500 0.500 0.500
In 0.750 0.750 0.750
Bi 0.250 0.250 0.250



11.
# CaIn2SnBi2
Computed powder diffraction line list, Cu Kα, 1.54184 Å. Input: a crystal structure in Alexandria, relaxed with PBE.

The 10 most intense peaks (2θ = 10–90°), by angle:
| Position (°2θ) | d/Å | intensity |
| --- | --- | --- |
| 20.37 | 4.361 | 33 |
| 23.82 | 3.735 | 29 |
| 24.68 | 3.608 | 31 |
| 29.68 | 3.010 | 25 |
| 30.93 | 2.891 | 100 |
| 32.19 | 2.781 | 78 |
| 37.78 | 2.381 | 34 |
| 39.96 | 2.256 | 38 |
| 41.49 | 2.176 | 24 |
| 60.49 | 1.531 | 31 |

Cell: 4.762 10.914 7.216 Å, 90.00 90.00 90.00°
Fractional coordinates of all 12 atoms:
Ca 0.000 0.043 0.000
Ca 0.000 0.957 0.500
In 0.000 0.355 0.223
In 0.000 0.645 0.723
In 0.500 0.467 0.489
In 0.500 0.533 0.989
Sn 0.500 0.152 0.714
Sn 0.500 0.848 0.214
Bi 0.000 0.337 0.779
Bi 0.000 0.663 0.279
Bi 0.500 0.149 0.288
Bi 0.500 0.851 0.788



12.
# KCa2Bi3
Computed powder diffraction line list, Cu Kα, 1.54184 Å. Input: a crystal structure in Alexandria, relaxed with PBE.

The 10 most intense peaks (2θ = 10–90°), by angle:
| Position (°2θ) | d/Å | intensity |
| --- | --- | --- |
| 18.55 | 4.783 | 33 |
| 24.00 | 3.709 | 42 |
| 30.50 | 2.931 | 100 |
| 34.19 | 2.622 | 40 |
| 37.62 | 2.391 | 11 |
| 39.18 | 2.299 | 22 |
| 49.13 | 1.854 | 15 |
| 51.74 | 1.767 | 17 |
| 58.94 | 1.567 | 31 |
| 63.50 | 1.465 | 15 |

Cell: 3.709 3.709 14.348 Å, 90.00 90.00 90.00°
Fractional coordinates of all 6 atoms:
K 0.000 0.000 0.000
Ca 0.000 0.000 0.339
Ca 0.000 0.000 0.661
Bi 0.500 0.500 0.187
Bi 0.500 0.500 0.500
Bi 0.500 0.500 0.813



13.
# K2CaBiO4
Computed powder diffraction line list, Cu Kα, 1.54184 Å. Input: a crystal structure in Alexandria, relaxed with PBE.

The 10 most intense peaks (2θ = 10–90°), by angle:
| Position (°2θ) | d/Å | intensity |
| --- | --- | --- |
| 14.17 | 6.251 | 100 |
| 15.36 | 5.769 | 64 |
| 17.42 | 5.091 | 46 |
| 28.56 | 3.125 | 43 |
| 30.66 | 2.916 | 64 |
| 31.00 | 2.884 | 31 |
| 34.95 | 2.567 | 99 |
| 35.26 | 2.545 | 47 |
| 48.90 | 1.863 | 32 |
| 52.04 | 1.757 | 30 |

Cell: 6.063 3.558 6.569 Å, 90.00 107.91 90.00°
Fractional coordinates of all 8 atoms:
K 0.000 0.000 0.000
K 0.500 0.500 0.000
Ca 0.000 0.500 0.500
Bi 0.500 0.000 0.500
O 0.246 0.000 0.691
O 0.280 0.500 0.305
O 0.720 0.500 0.695
O 0.754 0.000 0.309